# 1
UCo6B3: theoretical X-ray diffraction stick pattern (copper Kα), based on a DFT-relaxed cell (PBE, Alexandria).

Crystal structure
a = 5.745 Å, b = 5.745 Å, c = 5.745 Å
α = 50.66°, β = 50.66°, γ = 50.66°
Positions (direct):
U  0.000  0.000  0.000
Co  0.124  0.551  0.695
Co  0.415  0.931  0.448
Co  0.448  0.415  0.931
Co  0.551  0.695  0.124
Co  0.695  0.124  0.551
Co  0.931  0.448  0.415
B  0.166  0.166  0.166
B  0.364  0.364  0.364
B  0.697  0.697  0.697

Largest 6 diffraction maxima, in order of falling intensity, 2θ from 10° to 90°:
2θ = 42.9°, I 100; 2θ = 40.9°, I 83; 2θ = 31.8°, I 74; 2θ = 36.7°, I 61; 2θ = 24.0°, I 56; 2θ = 52.2°, I 52

=====

# 2
Hf2Fe3Si4: theoretical X-ray diffraction stick pattern (copper Kα), based on a DFT-relaxed cell (PBE, Alexandria).

Crystal structure
a = 7.385 Å, b = 7.385 Å, c = 6.792 Å
α = 90.00°, β = 90.00°, γ = 139.01°
Positions (direct):
Hf  0.107  0.893  0.901
Hf  0.393  0.607  0.401
Hf  0.607  0.393  0.599
Hf  0.893  0.107  0.099
Fe  0.000  0.000  0.500
Fe  0.019  0.481  0.750
Fe  0.481  0.019  0.250
Fe  0.500  0.500  0.000
Fe  0.519  0.981  0.750
Fe  0.981  0.519  0.250
Si  0.177  0.823  0.520
Si  0.188  0.312  0.750
Si  0.312  0.188  0.250
Si  0.323  0.677  0.020
Si  0.677  0.323  0.980
Si  0.688  0.812  0.750
Si  0.812  0.688  0.250
Si  0.823  0.177  0.480

Largest 6 diffraction maxima, in order of falling intensity, 2θ from 10° to 90°:
2θ = 39.2°, I 100; 2θ = 37.2°, I 98; 2θ = 22.5°, I 53; 2θ = 39.5°, I 50; 2θ = 42.0°, I 48; 2θ = 32.2°, I 44

=====

# 3
KGaRu2O8: theoretical X-ray diffraction stick pattern (copper Kα), based on a DFT-relaxed cell (PBE, Alexandria).

Crystal structure
a = 5.330 Å, b = 5.330 Å, c = 7.916 Å
α = 90.00°, β = 90.00°, γ = 120.00°
Positions (direct):
K  0.000  0.000  0.000
Ga  0.000  0.000  0.500
Ru  0.333  0.667  0.721
Ru  0.667  0.333  0.279
O  0.043  0.317  0.652
O  0.274  0.957  0.652
O  0.317  0.274  0.348
O  0.333  0.667  0.942
O  0.667  0.333  0.058
O  0.683  0.726  0.652
O  0.726  0.043  0.348
O  0.957  0.683  0.348

Largest 6 diffraction maxima, in order of falling intensity, 2θ from 10° to 90°:
2θ = 22.3°, I 100; 2θ = 29.7°, I 48; 2θ = 33.6°, I 41; 2θ = 11.2°, I 19; 2θ = 40.7°, I 16; 2θ = 53.8°, I 16

=====

# 4
Ga3PbI12: theoretical X-ray diffraction stick pattern (copper Kα), based on a DFT-relaxed cell (PBE, Alexandria).

Crystal structure
a = 15.277 Å, b = 15.277 Å, c = 15.277 Å
α = 48.20°, β = 48.20°, γ = 48.20°
Positions (direct):
Ga  0.019  0.329  0.652
Ga  0.152  0.829  0.519
Ga  0.329  0.652  0.019
Ga  0.519  0.152  0.829
Ga  0.652  0.019  0.329
Ga  0.829  0.519  0.152
Pb  0.339  0.339  0.339
Pb  0.839  0.839  0.839
I  0.054  0.372  0.436
I  0.080  0.922  0.663
I  0.086  0.787  0.105
I  0.105  0.086  0.787
I  0.163  0.422  0.580
I  0.279  0.939  0.282
I  0.282  0.279  0.939
I  0.287  0.586  0.605
I  0.372  0.436  0.054
I  0.422  0.580  0.163
I  0.436  0.054  0.372
I  0.439  0.779  0.782
I  0.554  0.936  0.872
I  0.580  0.163  0.422
I  0.586  0.605  0.287
I  0.605  0.287  0.586
I  0.663  0.080  0.922
I  0.779  0.782  0.439
I  0.782  0.439  0.779
I  0.787  0.105  0.086
I  0.872  0.554  0.936
I  0.922  0.663  0.080
I  0.936  0.872  0.554
I  0.939  0.282  0.279

Largest 6 diffraction maxima, in order of falling intensity, 2θ from 10° to 90°:
2θ = 13.1°, I 100; 2θ = 24.7°, I 94; 2θ = 28.1°, I 84; 2θ = 31.1°, I 59; 2θ = 45.7°, I 52; 2θ = 15.7°, I 50

=====

# 5
Ag2PbF4: theoretical X-ray diffraction stick pattern (copper Kα), based on a DFT-relaxed cell (PBE, Alexandria).

Crystal structure
a = 6.730 Å, b = 6.730 Å, c = 7.707 Å
α = 124.90°, β = 124.90°, γ = 71.89°
Positions (direct):
Ag  0.000  0.000  0.000
Ag  0.000  0.000  0.500
Ag  0.000  0.500  0.000
Ag  0.500  0.000  0.500
Pb  0.375  0.625  0.750
Pb  0.625  0.375  0.250
F  0.104  0.258  0.430
F  0.258  0.104  0.930
F  0.327  0.671  0.430
F  0.329  0.673  0.070
F  0.671  0.327  0.930
F  0.673  0.329  0.570
F  0.742  0.896  0.070
F  0.896  0.742  0.570

Largest 6 diffraction maxima, in order of falling intensity, 2θ from 10° to 90°:
2θ = 28.2°, I 100; 2θ = 36.0°, I 45; 2θ = 43.9°, I 45; 2θ = 23.1°, I 37; 2θ = 27.9°, I 30; 2θ = 43.6°, I 29

=====

# 6
KCd9Ga3: theoretical X-ray diffraction stick pattern (copper Kα), based on a DFT-relaxed cell (PBE, Alexandria).

Crystal structure
a = 7.771 Å, b = 7.771 Å, c = 7.678 Å
α = 97.91°, β = 97.91°, γ = 135.18°
Positions (direct):
K  0.000  0.000  0.000
Cd  0.000  0.000  0.500
Cd  0.006  0.359  0.354
Cd  0.284  0.502  0.784
Cd  0.359  0.006  0.354
Cd  0.498  0.716  0.216
Cd  0.502  0.284  0.784
Cd  0.641  0.994  0.646
Cd  0.716  0.498  0.216
Cd  0.994  0.641  0.646
Ga  0.000  0.500  0.000
Ga  0.500  0.000  0.000
Ga  0.500  0.500  0.500

Largest 6 diffraction maxima, in order of falling intensity, 2θ from 10° to 90°:
2θ = 35.4°, I 100; 2θ = 39.4°, I 76; 2θ = 30.2°, I 41; 2θ = 40.0°, I 40; 2θ = 39.8°, I 35; 2θ = 35.0°, I 30

=====

Copy entry 4 word for word.
Ga3PbI12: theoretical X-ray diffraction stick pattern (copper Kα), based on a DFT-relaxed cell (PBE, Alexandria).

Crystal structure
a = 15.277 Å, b = 15.277 Å, c = 15.277 Å
α = 48.20°, β = 48.20°, γ = 48.20°
Positions (direct):
Ga  0.019  0.329  0.652
Ga  0.152  0.829  0.519
Ga  0.329  0.652  0.019
Ga  0.519  0.152  0.829
Ga  0.652  0.019  0.329
Ga  0.829  0.519  0.152
Pb  0.339  0.339  0.339
Pb  0.839  0.839  0.839
I  0.054  0.372  0.436
I  0.080  0.922  0.663
I  0.086  0.787  0.105
I  0.105  0.086  0.787
I  0.163  0.422  0.580
I  0.279  0.939  0.282
I  0.282  0.279  0.939
I  0.287  0.586  0.605
I  0.372  0.436  0.054
I  0.422  0.580  0.163
I  0.436  0.054  0.372
I  0.439  0.779  0.782
I  0.554  0.936  0.872
I  0.580  0.163  0.422
I  0.586  0.605  0.287
I  0.605  0.287  0.586
I  0.663  0.080  0.922
I  0.779  0.782  0.439
I  0.782  0.439  0.779
I  0.787  0.105  0.086
I  0.872  0.554  0.936
I  0.922  0.663  0.080
I  0.936  0.872  0.554
I  0.939  0.282  0.279

Largest 6 diffraction maxima, in order of falling intensity, 2θ from 10° to 90°:
2θ = 13.1°, I 100; 2θ = 24.7°, I 94; 2θ = 28.1°, I 84; 2θ = 31.1°, I 59; 2θ = 45.7°, I 52; 2θ = 15.7°, I 50

=====

- Number 6 is which compound?
  KCd9Ga3